(1)
The following is a computed powder X-ray diffraction pattern of MgV2Cu3O8. It was derived from a crystal structure in the Materials Project, relaxed with PBE+U, using a wavelength of 1.5418 Å.

Structure:
```
14
Lattice="5.2936 0.0000 0.0000 2.2281 4.9656 0.0000 0.1336 2.0843 6.5517" Properties=species:S:1:pos:R:3 pbc="T T T"
Mg 0.0000 0.0000 0.0000
V 2.9185 3.0374 2.5926
V 5.0991 5.4788 5.3918
Cu 2.4657 3.7215 5.9409
Cu 5.4465 4.9036 2.1115
Cu 5.5660 1.7579 3.8089
O 2.3620 4.5334 1.8753
O 2.0154 2.8395 4.1026
O 3.2629 5.6009 5.3558
O 2.6027 1.7470 1.4360
O 5.6660 6.7594 6.4747
O 4.6739 3.1978 2.8298
O 5.9936 5.6722 3.9050
O 5.6383 3.9768 6.0982
```

Main lines, sorted by position (10 to 90 degrees two-theta):
2θ = 26.2°, d = 3.395 Å, rel. 30
2θ = 27.2°, d = 3.276 Å, rel. 41
2θ = 28.0°, d = 3.183 Å, rel. 99
2θ = 31.7°, d = 2.826 Å, rel. 100
2θ = 33.4°, d = 2.681 Å, rel. 51
2θ = 34.0°, d = 2.635 Å, rel. 94
2θ = 34.8°, d = 2.576 Å, rel. 34
2θ = 54.3°, d = 1.690 Å, rel. 27
2θ = 57.4°, d = 1.605 Å, rel. 29
2θ = 57.6°, d = 1.599 Å, rel. 28

***

(2)
The following is a computed powder X-ray diffraction pattern of Li4Fe2Ni3TeP6O24. It was derived from a crystal structure in the Materials Project, relaxed with PBE+U, using a wavelength of 1.5418 Å.

Structure:
```
40
Lattice="8.4246 0.0000 0.0000 3.7780 7.6615 0.0000 3.7620 2.4348 7.2886" Properties=species:S:1:pos:R:3 pbc="T T T"
Li 0.0000 0.0000 0.0000
Li 6.2926 6.0272 6.9154
Li 8.3577 5.9893 2.0365
Li 9.9405 2.3663 3.5481
Fe 7.9458 8.1217 4.6867
Fe 8.1421 3.0645 1.0296
Ni 6.3410 1.9220 5.7430
Ni 9.6751 3.9819 7.2283
Ni 10.6725 4.5867 2.1567
Te 5.3909 6.5228 3.5754
P 3.8056 3.9409 5.1409
P 2.7562 1.2185 1.3339
P 5.3060 4.7792 0.5753
P 8.0278 4.4576 4.3279
P 10.7795 7.9771 2.8556
P 13.2450 8.3526 6.5215
O 1.8827 2.5326 1.5101
O 5.8214 7.6500 5.4049
O 4.9064 5.0527 5.0411
O 4.3912 2.5060 5.2912
O 3.8484 4.4562 0.9531
O 6.5524 8.2482 2.8474
O 2.0066 0.3399 0.3418
O 6.0448 5.6375 1.6695
O 8.9713 7.9988 6.5280
O 7.4246 5.9809 4.0625
O 4.1872 1.4796 0.9722
O 6.9522 3.4380 4.5636
O 9.7943 8.4801 3.9309
O 6.2063 3.5355 0.4579
O 9.0189 4.6254 5.4428
O 11.8521 8.6042 6.0368
O 8.7096 4.1464 2.9267
O 7.0893 1.2775 1.6434
O 10.3306 6.5596 2.4480
O 14.0089 9.6060 6.9227
O 9.4403 4.8287 0.3817
O 12.2520 8.0167 3.4029
O 11.5922 4.2691 6.5143
O 11.3078 3.9014 3.9252
```

Main lines, sorted by position (10 to 90 degrees two-theta):
2θ = 19.8°, d = 4.486 Å, rel. 100
2θ = 20.9°, d = 4.260 Å, rel. 16
2θ = 23.6°, d = 3.769 Å, rel. 26
2θ = 23.8°, d = 3.735 Å, rel. 26
2θ = 24.0°, d = 3.705 Å, rel. 25
2θ = 32.9°, d = 2.720 Å, rel. 34
2θ = 33.2°, d = 2.696 Å, rel. 30
2θ = 33.5°, d = 2.674 Å, rel. 26
2θ = 34.6°, d = 2.592 Å, rel. 42
2θ = 34.7°, d = 2.585 Å, rel. 20

***

(3)
The following is a computed powder X-ray diffraction pattern of MgV4P4O20. It was derived from a crystal structure in the Materials Project, relaxed with PBE+U, using a wavelength of 1.5418 Å.

Structure:
```
29
Lattice="5.2806 0.0000 0.0000 2.5854 6.8694 0.0000 2.5632 2.7414 9.4885" Properties=species:S:1:pos:R:3 pbc="T T T"
Mg 0.0000 0.0000 0.0000
V 2.5743 4.8054 4.7442
V 3.8366 2.4386 2.4509
V 2.6403 0.0000 0.0000
V 6.5925 7.1722 7.0375
P 3.8048 7.3434 2.9861
P 3.8976 5.3233 7.7108
P 6.5315 4.2875 1.7777
P 6.6243 2.2674 6.5024
O 3.7299 6.1789 3.9627
O 3.9014 4.1700 8.7437
O 3.7287 4.7602 6.2697
O 2.4701 3.3790 1.4724
O 3.8730 6.8150 1.5181
O 5.2142 8.2707 6.3602
O 2.4792 1.2952 3.2680
O 5.2157 6.1037 7.8741
O 3.6572 3.4898 3.7862
O 6.7008 8.4305 8.6294
O 3.7283 1.1803 0.8591
O 6.7719 6.1210 5.7023
O 5.2134 3.5071 1.6143
O 7.9499 8.3156 6.2204
O 5.2149 1.3401 3.1283
O 6.5561 2.7958 7.9703
O 7.9590 6.2318 8.0161
O 6.7004 4.8506 3.2188
O 6.5277 5.4408 0.7448
O 6.6992 3.4319 5.5258
```

Main lines, sorted by position (10 to 90 degrees two-theta):
2θ = 18.4°, d = 4.826 Å, rel. 33
2θ = 19.2°, d = 4.632 Å, rel. 26
2θ = 24.1°, d = 3.693 Å, rel. 21
2θ = 27.0°, d = 3.301 Å, rel. 49
2θ = 27.3°, d = 3.271 Å, rel. 20
2θ = 27.7°, d = 3.221 Å, rel. 100
2θ = 27.8°, d = 3.205 Å, rel. 48
2θ = 39.3°, d = 2.293 Å, rel. 11
2θ = 57.3°, d = 1.609 Å, rel. 19
2θ = 58.6°, d = 1.575 Å, rel. 12

***

(4)
The following is a computed powder X-ray diffraction pattern of Ca2YMoO5. It was derived from a crystal structure in the Materials Project, relaxed with PBE+U, using a wavelength of 1.5418 Å.

Structure:
```
18
Lattice="-7.6765 2.9815 2.9087 7.6765 -2.9815 2.9087 7.6765 2.9815 -2.9087" Properties=species:S:1:pos:R:3 pbc="T T T"
Ca 1.6360 0.1256 0.0000
Ca 6.0405 0.1256 0.0000
Ca 1.6360 2.8559 2.9087
Ca 6.0405 2.8559 2.9087
Y 3.8382 -0.2862 2.7267
Y 3.8382 3.2677 -0.1820
Mo 0.0000 2.9815 0.2263
Mo 0.0000 0.0000 3.1350
O 8.2533 1.5694 -1.2857
O 7.0997 -1.4121 1.6230
O 11.5147 0.6219 0.5319
O 2.0740 2.3131 0.5200
O 5.6025 2.3131 0.5200
O -0.5768 1.4121 1.6230
O 8.2533 1.4121 1.6230
O 2.0740 0.6684 3.4287
O 5.6025 0.6684 3.4287
O -3.8382 2.3596 3.4406
```

Main lines, sorted by position (10 to 90 degrees two-theta):
2θ = 21.3°, d = 4.164 Å, rel. 31
2θ = 23.2°, d = 3.838 Å, rel. 15
2θ = 30.0°, d = 2.981 Å, rel. 31
2θ = 30.7°, d = 2.909 Å, rel. 34
2θ = 31.7°, d = 2.822 Å, rel. 100
2θ = 43.5°, d = 2.082 Å, rel. 30
2θ = 47.4°, d = 1.920 Å, rel. 14
2θ = 54.3°, d = 1.689 Å, rel. 24
2θ = 55.3°, d = 1.662 Å, rel. 19
2θ = 57.5°, d = 1.602 Å, rel. 11